For Mo3NO9, a PBE+U-relaxed structure gives the simulated powder XRD pattern in this record (Cu Kα (weighted mean of Kα1 and Kα2)).
Neutral-atom scattering factors, no anomalous dispersion.

Main lines, most intense first (2θ from 15° to 90°):
- (1 2 0), 24.11°, I = 100
- (1 1 1), 29.34°, I = 49
- (1 0 1), 26.28°, I = 43
- (2 1 1), 34.72°, I = 34
- (2 0 0), 18.16°, I = 28
- (1 4 0), 42.41°, I = 26
- (3 3 1), 55.06°, I = 18
- (4 0 1), 44.78°, I = 17
- (1 2 2), 56.68°, I = 17
- (5 0 1), 53.30°, I = 14

Structural model:
a = 11.2793 Å, b = 11.2793 Å, c = 3.6166 Å
α = 90.00°, β = 90.00°, γ = 120.00°
Space group P6_3/m (No. 176)
One atom of each set of equivalent atoms:
Mo 0.1093 0.4607 0.2500 (multiplicity 6)
N 0.0000 0.0000 0.0000 (multiplicity 2)
O 0.0153 0.2862 0.2500 (multiplicity 6)
O 0.0801 0.5060 0.7500 (multiplicity 6)
O 0.2181 0.7210 0.2500 (multiplicity 6)